For SnPS3, a structure optimized by DFT (GGA-PBE) gives the computed PXRD pattern in this record (Cu Kα X-rays).

Peak list (10 most intense, 2θ = 10–90°, by intensity)
2θ 29.5, intensity 100; 2θ 13.0, intensity 81; 2θ 37.5, intensity 47; 2θ 26.4, intensity 29; 2θ 46.6, intensity 28; 2θ 48.6, intensity 18; 2θ 26.6, intensity 18; 2θ 23.1, intensity 14; 2θ 56.2, intensity 14; 2θ 48.3, intensity 14

Cell and atoms:
Unit cell a=7.8564 b=7.8564 c=7.8564 alpha=50.87 beta=50.87 gamma=50.87
Fractional coordinates of all 10 atoms:
Sn  0.1678  0.1678  0.1678
Sn  0.8322  0.8322  0.8322
P  0.4449  0.4449  0.4449
P  0.5551  0.5551  0.5551
S  0.1305  0.4058  0.7096
S  0.2904  0.8695  0.5942
S  0.4058  0.7096  0.1305
S  0.5942  0.2904  0.8695
S  0.7096  0.1305  0.4058
S  0.8695  0.5942  0.2904